# Ca2VRuO6
Theoretical XRD peak list, Cu Kα. Input: a structure optimized by DFT (PBE+U).

Atomic structure:
Cell lengths 5.4771, 5.4771, 3.9217 Å; angles 90.00, 90.00, 90.00 degrees
Space group P4mm (No. 99)
Symmetry-distinct sites (fractional):
Ca 0.0000 0.5000 0.0000 (multiplicity 2)
V 0.0000 0.0000 0.5381 (multiplicity 1)
Ru 0.5000 0.5000 0.5533 (multiplicity 1)
O 0.0000 0.0000 0.0568 (multiplicity 1)
O 0.2446 0.2446 0.5650 (multiplicity 4)
O 0.5000 0.5000 0.0548 (multiplicity 1)

Main lines, most intense first (2θ from 15° to 90°):
2theta	I/Imax	index
32.49	100	1 1 1
32.70	50	2 0 0
46.92	45	2 2 0
58.23	36	3 1 1
22.96	32	1 1 0
68.04	23	2 2 2
46.30	21	0 0 2
22.67	19	0 0 1
57.83	18	2 0 2
16.18	16	1 0 0